1.
Starting from a crystal structure in the Materials Project, relaxed with PBE+U, the XRD peak list of LiFe2B2O6 was calculated for Cu Ka.

Atomic structure:
```
data_LiFe2B2O6
_chemical_formula_sum 'Li4 Fe8 B8 O24'
_space_group_name_H-M_alt 'P 1'
_space_group_IT_number 1
_cell_length_a 5.2374
_cell_length_b 9.0977
_cell_length_c 11.3579
_cell_angle_alpha 67.44
_cell_angle_beta 76.82
_cell_angle_gamma 89.34
loop_
_space_group_symop_operation_xyz
'x,y,z'
loop_
_atom_site_label
_atom_site_type_symbol
_atom_site_fract_x
_atom_site_fract_y
_atom_site_fract_z
Li1 Li 0.0000 0.0000 0.0000
Li2 Li 0.0153 0.0289 0.2584
Li3 Li 0.3058 0.2816 0.7437
Li4 Li 0.7497 0.7382 0.5137
Fe1 Fe 0.0243 0.3477 0.9757
Fe2 Fe 0.0326 0.7036 0.2295
Fe3 Fe 0.2534 0.9406 0.4787
Fe4 Fe 0.2901 0.6340 0.7302
Fe5 Fe 0.5120 0.8318 0.9788
Fe6 Fe 0.5479 0.2196 0.2200
Fe7 Fe 0.7643 0.4145 0.4738
Fe8 Fe 0.8175 0.1097 0.7235
B1 B 0.0119 0.6807 0.9706
B2 B 0.0496 0.3711 0.2310
B3 B 0.2612 0.5888 0.4827
B4 B 0.3139 0.9596 0.7344
B5 B 0.5186 0.1634 0.9773
B6 B 0.5444 0.8933 0.2158
B7 B 0.7518 0.0923 0.4653
B8 B 0.7991 0.4615 0.7187
O1 O 0.0135 0.6002 0.4499
O2 O 0.0411 0.4501 0.7552
O3 O 0.1293 0.7811 0.0152
O4 O 0.1657 0.5797 0.9225
O5 O 0.1855 0.0908 0.7342
O6 O 0.2263 0.8577 0.6830
O7 O 0.2659 0.1782 0.9595
O8 O 0.3103 0.3717 0.2228
O9 O 0.3476 0.7045 0.5219
O10 O 0.3900 0.0008 0.2571
O11 O 0.4118 0.4662 0.4803
O12 O 0.4226 0.7930 0.1755
O13 O 0.5299 0.1260 0.4157
O14 O 0.5366 0.9253 0.7836
O15 O 0.6347 0.2581 0.0252
O16 O 0.6545 0.5913 0.7118
O17 O 0.6703 0.0491 0.9452
O18 O 0.7080 0.3440 0.6838
O19 O 0.7521 0.6802 0.9770
O20 O 0.8105 0.8929 0.2128
O21 O 0.8381 0.1912 0.5184
O22 O 0.8846 0.9623 0.4591
O23 O 0.8970 0.4713 0.2797
O24 O 0.9320 0.2683 0.1876
```

Peak list (6 most intense, 10° ≤ 2θ ≤ 90°, low angle first)
d 4.554, 2θ = 19.49°, intensity 299; d 4.516, 2θ = 19.66°, intensity 485; d 4.127, 2θ = 21.53°, intensity 1000; d 3.427, 2θ = 26.00°, intensity 476; d 2.544, 2θ = 35.28°, intensity 679; d 2.232, 2θ = 40.42°, intensity 294

***

2.
Starting from a crystal structure in the Materials Project, relaxed with PBE+U, the XRD peak list of LiFe2B2O6 was calculated for Cu Ka.

Atomic structure:
```
data_LiFe2B2O6
_chemical_formula_sum 'Li4 Fe8 B8 O24'
_space_group_name_H-M_alt 'P 1'
_space_group_IT_number 1
_cell_length_a 5.2444
_cell_length_b 9.0834
_cell_length_c 10.1744
_cell_angle_alpha 89.48
_cell_angle_beta 88.82
_cell_angle_gamma 89.65
loop_
_space_group_symop_operation_xyz
'x,y,z'
loop_
_atom_site_label
_atom_site_type_symbol
_atom_site_fract_x
_atom_site_fract_y
_atom_site_fract_z
Li1 Li 0.0000 0.0000 0.0000
Li2 Li 0.0404 0.9874 0.4935
Li3 Li 0.1797 0.1552 0.7354
Li4 Li 0.5348 0.4866 0.4866
Fe1 Fe 0.0151 0.6561 0.9672
Fe2 Fe 0.0381 0.3159 0.4566
Fe3 Fe 0.1724 0.4910 0.7116
Fe4 Fe 0.1750 0.8159 0.2115
Fe5 Fe 0.5033 0.1689 0.9679
Fe6 Fe 0.5260 0.8250 0.4575
Fe7 Fe 0.6787 0.3215 0.2102
Fe8 Fe 0.6828 0.9737 0.7205
B1 B 0.0029 0.3228 0.9549
B2 B 0.0186 0.6583 0.4670
B3 B 0.1805 0.4839 0.2096
B4 B 0.1928 0.8208 0.7070
B5 B 0.5216 0.8256 0.9639
B6 B 0.5287 0.1504 0.4626
B7 B 0.6719 0.3167 0.7063
B8 B 0.6768 0.9924 0.2133
O1 O 0.0230 0.3724 0.2574
O2 O 0.0580 0.9512 0.7029
O3 O 0.0699 0.6095 0.1550
O4 O 0.0875 0.6929 0.7615
O5 O 0.1123 0.4543 0.9073
O6 O 0.1297 0.1909 0.9365
O7 O 0.1527 0.5339 0.5107
O8 O 0.1550 0.7835 0.4272
O9 O 0.2558 0.8263 0.9906
O10 O 0.2693 0.1458 0.4783
O11 O 0.4368 0.4734 0.2249
O12 O 0.4377 0.8175 0.6523
O13 O 0.5210 0.4376 0.6814
O14 O 0.5316 0.8781 0.2692
O15 O 0.5519 0.1241 0.1796
O16 O 0.5634 0.1874 0.7525
O17 O 0.6380 0.9587 0.9285
O18 O 0.6525 0.2793 0.4221
O19 O 0.6652 0.7007 0.9701
O20 O 0.6751 0.0239 0.4930
O21 O 0.7582 0.6595 0.4630
O22 O 0.7647 0.3284 0.0151
O23 O 0.9304 0.9769 0.1887
O24 O 0.9371 0.3229 0.6789
```

Peak list (6 most intense, 10° ≤ 2θ ≤ 90°, low angle first)
d 4.547, 2θ = 19.52°, intensity 382; d 4.529, 2θ = 19.60°, intensity 605; d 4.125, 2θ = 21.54°, intensity 1000; d 3.403, 2θ = 26.19°, intensity 312; d 2.625, 2θ = 34.16°, intensity 539; d 2.543, 2θ = 35.29°, intensity 811

***

3.
Starting from a crystal structure in the Materials Project, relaxed with PBE+U, the XRD peak list of LiFe2B2O6 was calculated for Cu Ka.

Atomic structure:
```
data_LiFe2B2O6
_chemical_formula_sum 'Li4 Fe8 B8 O24'
_space_group_name_H-M_alt 'P 1'
_space_group_IT_number 1
_cell_length_a 5.2854
_cell_length_b 9.0638
_cell_length_c 11.3407
_cell_angle_alpha 113.46
_cell_angle_beta 102.03
_cell_angle_gamma 90.26
loop_
_space_group_symop_operation_xyz
'x,y,z'
loop_
_atom_site_label
_atom_site_type_symbol
_atom_site_fract_x
_atom_site_fract_y
_atom_site_fract_z
Li1 Li 0.0000 0.0000 0.0000
Li2 Li 0.0548 0.3579 0.7327
Li3 Li 0.5536 0.8647 0.7415
Li4 Li 0.7322 0.7147 0.4714
Fe1 Fe 0.0166 0.3401 0.0122
Fe2 Fe 0.0675 0.7101 0.7559
Fe3 Fe 0.2568 0.9227 0.5099
Fe4 Fe 0.3168 0.2962 0.2685
Fe5 Fe 0.5112 0.8275 0.0122
Fe6 Fe 0.5600 0.2229 0.7669
Fe7 Fe 0.7635 0.3965 0.5060
Fe8 Fe 0.8222 0.7868 0.2579
B1 B 0.0153 0.6694 0.0068
B2 B 0.0632 0.0480 0.7698
B3 B 0.2597 0.5912 0.5090
B4 B 0.3151 0.9624 0.2609
B5 B 0.5191 0.1644 0.0108
B6 B 0.5648 0.5443 0.7633
B7 B 0.7752 0.0752 0.5233
B8 B 0.8106 0.4484 0.2603
O1 O 0.0208 0.6005 0.5436
O2 O 0.0338 0.4064 0.2076
O3 O 0.1171 0.5293 0.9966
O4 O 0.1325 0.7816 0.9720
O5 O 0.1959 0.0921 0.2511
O6 O 0.2134 0.8733 0.3196
O7 O 0.2793 0.1946 0.0475
O8 O 0.2881 0.0225 0.7207
O9 O 0.3685 0.4460 0.4600
O10 O 0.4030 0.7326 0.5290
O11 O 0.4167 0.4200 0.7612
O12 O 0.4761 0.7011 0.8064
O13 O 0.5275 0.9119 0.2063
O14 O 0.5410 0.0835 0.5622
O15 O 0.6230 0.0218 0.9993
O16 O 0.6453 0.2719 0.9780
O17 O 0.6883 0.3341 0.2892
O18 O 0.7278 0.5959 0.2857
O19 O 0.7911 0.7088 0.0522
O20 O 0.7989 0.5238 0.7230
O21 O 0.8758 0.9239 0.4820
O22 O 0.9081 0.2100 0.5342
O23 O 0.9301 0.9254 0.7815
O24 O 0.9759 0.2029 0.8100
```

Peak list (6 most intense, 10° ≤ 2θ ≤ 90°, low angle first)
d 4.564, 2θ = 19.45°, intensity 289; d 4.532, 2θ = 19.59°, intensity 497; d 4.131, 2θ = 21.51°, intensity 1000; d 3.428, 2θ = 25.99°, intensity 471; d 3.354, 2θ = 26.58°, intensity 338; d 2.532, 2θ = 35.46°, intensity 664

***

4.
Starting from a crystal structure in the Materials Project, relaxed with PBE+U, the XRD peak list of LiFe2B2O6 was calculated for Cu Ka.

Atomic structure:
```
data_LiFe2B2O6
_chemical_formula_sum 'Li4 Fe8 B8 O24'
_space_group_name_H-M_alt 'P 1'
_space_group_IT_number 1
_cell_length_a 5.2401
_cell_length_b 9.1587
_cell_length_c 11.2821
_cell_angle_alpha 111.68
_cell_angle_beta 103.26
_cell_angle_gamma 90.91
loop_
_space_group_symop_operation_xyz
'x,y,z'
loop_
_atom_site_label
_atom_site_type_symbol
_atom_site_fract_x
_atom_site_fract_y
_atom_site_fract_z
Li1 Li 0.0000 0.0000 0.0000
Li2 Li 0.0150 0.7078 0.7330
Li3 Li 0.2777 0.9637 0.2476
Li4 Li 0.5175 0.2082 0.7396
Fe1 Fe 0.0143 0.6700 0.0201
Fe2 Fe 0.0430 0.3890 0.7709
Fe3 Fe 0.2515 0.5888 0.5114
Fe4 Fe 0.2737 0.3082 0.2756
Fe5 Fe 0.5073 0.1828 0.0269
Fe6 Fe 0.5443 0.8919 0.7680
Fe7 Fe 0.7538 0.0855 0.5187
Fe8 Fe 0.7916 0.8007 0.2729
B1 B 0.0551 0.0620 0.7813
B2 B 0.2474 0.9253 0.5223
B3 B 0.2947 0.6444 0.2765
B4 B 0.5109 0.8581 0.0311
B5 B 0.5399 0.5526 0.7700
B6 B 0.7550 0.4343 0.5310
B7 B 0.7792 0.1227 0.2627
B8 B 0.9973 0.3341 0.0103
O1 O 0.0380 0.1237 0.2599
O2 O 0.1004 0.4409 0.9675
O3 O 0.1346 0.7464 0.2340
O4 O 0.1591 0.2350 0.0550
O5 O 0.1811 0.5379 0.3165
O6 O 0.2506 0.8577 0.0357
O7 O 0.3294 0.0903 0.8171
O8 O 0.3626 0.8099 0.5647
O9 O 0.3973 0.0586 0.5434
O10 O 0.4007 0.6630 0.7338
O11 O 0.4093 0.4232 0.7734
O12 O 0.4831 0.4221 0.4846
O13 O 0.5519 0.6514 0.2765
O14 O 0.6139 0.2211 0.2200
O15 O 0.6148 0.9644 0.9848
O16 O 0.6625 0.0163 0.3038
O17 O 0.6793 0.7638 0.0741
O18 O 0.7373 0.3224 0.0062
O19 O 0.8197 0.5734 0.8025
O20 O 0.8672 0.3231 0.5773
O21 O 0.9094 0.1680 0.7389
O22 O 0.9125 0.5610 0.5392
O23 O 0.9331 0.9343 0.7909
O24 O 0.9774 0.9031 0.4667
```

Peak list (6 most intense, 10° ≤ 2θ ≤ 90°, low angle first)
d 4.577, 2θ = 19.39°, intensity 432; d 4.516, 2θ = 19.66°, intensity 762; d 4.144, 2θ = 21.45°, intensity 746; d 4.110, 2θ = 21.62°, intensity 757; d 2.619, 2θ = 34.24°, intensity 726; d 2.536, 2θ = 35.40°, intensity 1000

***

5.
Starting from a crystal structure in the Materials Project, relaxed with PBE+U, the XRD peak list of LiFe2B2O6 was calculated for Cu Ka.

Atomic structure:
```
data_LiFe2B2O6
_chemical_formula_sum 'Li4 Fe8 B8 O24'
_space_group_name_H-M_alt 'P 1'
_space_group_IT_number 1
_cell_length_a 5.2776
_cell_length_b 9.0564
_cell_length_c 11.3059
_cell_angle_alpha 113.24
_cell_angle_beta 101.96
_cell_angle_gamma 90.09
loop_
_space_group_symop_operation_xyz
'x,y,z'
loop_
_atom_site_label
_atom_site_type_symbol
_atom_site_fract_x
_atom_site_fract_y
_atom_site_fract_z
Li1 Li 0.0000 0.0000 0.0000
Li2 Li 0.0787 0.3851 0.7435
Li3 Li 0.3214 0.6109 0.2437
Li4 Li 0.7465 0.7603 0.4953
Fe1 Fe 0.0537 0.7062 0.7104
Fe2 Fe 0.2378 0.9041 0.4670
Fe3 Fe 0.3001 0.2624 0.2187
Fe4 Fe 0.4935 0.8068 0.9540
Fe5 Fe 0.5542 0.1873 0.7186
Fe6 Fe 0.7492 0.3934 0.4576
Fe7 Fe 0.8011 0.7808 0.2125
Fe8 Fe 0.9937 0.3273 0.9685
B1 B 0.0023 0.6592 0.9581
B2 B 0.0338 0.0330 0.7077
B3 B 0.2551 0.5627 0.4595
B4 B 0.2812 0.9246 0.2023
B5 B 0.4877 0.1386 0.9586
B6 B 0.5559 0.5166 0.7130
B7 B 0.7414 0.0667 0.4621
B8 B 0.8060 0.4522 0.2203
O1 O 0.0134 0.5754 0.4959
O2 O 0.0423 0.4279 0.1822
O3 O 0.1020 0.5174 0.9376
O4 O 0.1097 0.7766 0.9246
O5 O 0.1541 0.0498 0.1943
O6 O 0.1833 0.8168 0.2477
O7 O 0.2544 0.1653 0.9984
O8 O 0.2719 0.0243 0.6733
O9 O 0.3702 0.6900 0.4467
O10 O 0.3739 0.4199 0.4341
O11 O 0.4347 0.3860 0.7177
O12 O 0.4481 0.6645 0.7601
O13 O 0.5110 0.8875 0.1577
O14 O 0.5346 0.0770 0.5203
O15 O 0.6004 0.2415 0.9153
O16 O 0.6194 0.0067 0.9618
O17 O 0.6790 0.5869 0.2207
O18 O 0.6921 0.3467 0.2604
O19 O 0.7850 0.7004 0.0136
O20 O 0.7862 0.5059 0.6670
O21 O 0.8359 0.9123 0.4102
O22 O 0.8599 0.1961 0.4560
O23 O 0.8972 0.8956 0.6905
O24 O 0.9359 0.1849 0.7503
```

Peak list (6 most intense, 10° ≤ 2θ ≤ 90°, low angle first)
d 4.528, 2θ = 19.60°, intensity 760; d 4.132, 2θ = 21.51°, intensity 758; d 4.116, 2θ = 21.59°, intensity 743; d 3.429, 2θ = 25.99°, intensity 699; d 2.620, 2θ = 34.22°, intensity 728; d 2.530, 2θ = 35.48°, intensity 1000